# 1
# ScAlCuTc
Simulated XRD peak list, CuKα. Input: a structure optimized by DFT (GGA-PBE).
Peak positions follow from Bragg's law for the DFT cell and can differ from measured ones.

Peak list (11 most intense, 2θ = 10–90°, in order of falling intensity)
d [Å]	I/Imax	h k l
2.212	100	2 2 0
1.277	31	4 2 2
3.129	22	2 0 0
1.564	16	4 0 0
1.106	10	4 4 0
1.399	7	4 2 0
1.806	6	2 2 2
3.613	6	1 1 1
1.887	3	3 1 1
1.436	1	3 3 1
1.204	1	5 1 1

Structural model:
```
data_ScAlCuTc
_cell_length_a 6.2573
_cell_length_b 6.2573
_cell_length_c 6.2573
_cell_angle_alpha 90.00
_cell_angle_beta 90.00
_cell_angle_gamma 90.00
_symmetry_space_group_name_H-M 'F -4 3 m'
_symmetry_Int_Tables_number 216
_symmetry_space_group_name_Hall 'F -4 2 3'
loop_
_atom_site_label
_atom_site_type_symbol
_atom_site_fract_x
_atom_site_fract_y
_atom_site_fract_z
Sc1 Sc 0.0000 0.0000 0.0000
Al1 Al 0.0000 0.0000 0.5000
Cu1 Cu 0.2500 0.2500 0.2500
Tc1 Tc 0.2500 0.2500 0.7500
```



# 2
# CaGa6Ag4
Simulated XRD peak list, CuKα. Input: a structure optimized by DFT (GGA-PBE).
Peak positions follow from Bragg's law for the DFT cell and can differ from measured ones.

Peak list (12 most intense, 2θ = 10–90°, in order of falling intensity)
d [Å]	I/Imax	h k l
2.208	100	1 1 4
5.612	68	1 0 1
2.240	52	2 1 3
2.405	36	2 2 0
2.806	33	2 0 2
2.908	30	2 1 1
2.006	27	2 0 4
3.400	27	2 0 0
2.151	26	3 1 0
1.974	22	3 1 2
2.164	18	2 2 2
1.454	17	4 2 2

Structural model:
```
data_CaGa6Ag4
_cell_length_a 6.8010
_cell_length_b 6.8010
_cell_length_c 9.9353
_cell_angle_alpha 90.00
_cell_angle_beta 90.00
_cell_angle_gamma 90.00
_symmetry_space_group_name_H-M 'I -4 2 m'
_symmetry_Int_Tables_number 121
_symmetry_space_group_name_Hall 'I -4 2'
loop_
_atom_site_label
_atom_site_type_symbol
_atom_site_fract_x
_atom_site_fract_y
_atom_site_fract_z
Ca1 Ca 0.0000 0.0000 0.0000
Ga1 Ga 0.0000 0.5000 0.0000
Ga2 Ga 0.2176 0.2176 0.3241
Ag1 Ag 0.1620 0.1620 0.5993
```



# 3
# Pr6TlRu2I3
Simulated XRD peak list, CuKα. Input: a structure optimized by DFT (GGA-PBE).
Peak positions follow from Bragg's law for the DFT cell and can differ from measured ones.

Peak list (12 most intense, 2θ = 10–90°, in order of falling intensity)
d [Å]	I/Imax	h k l
3.196	100	1 3 1
3.198	54	2 0 -2
2.157	50	3 3 -1
2.380	47	2 0 2
1.788	25	4 0 0
8.236	21	0 0 1
1.376	17	5 3 -3
2.566	15	2 0 -3
1.695	14	2 0 -5
1.598	13	4 0 -4
1.489	12	3 3 3
1.284	12	5 3 1

Structural model:
```
data_Pr6TlRu2I3
_cell_length_a 7.4720
_cell_length_b 12.9394
_cell_length_c 8.6048
_cell_angle_alpha 90.00
_cell_angle_beta 106.84
_cell_angle_gamma 90.00
_symmetry_space_group_name_H-M 'C 1 2/m 1'
_symmetry_Int_Tables_number 12
loop_
_symmetry_equiv_pos_as_xyz
'x,y,z'
'-x,-y,-z'
'-x,y,-z'
'x,-y,z'
'x+1/2,y+1/2,z'
'-x+1/2,-y+1/2,-z'
'-x+1/2,y+1/2,-z'
'x+1/2,-y+1/2,z'
loop_
_atom_site_label
_atom_site_type_symbol
_atom_site_fract_x
_atom_site_fract_y
_atom_site_fract_z
Pr1 Pr 0.1939 0.0000 0.1921
Pr2 Pr 0.2499 0.1853 0.8063
Tl1 Tl 0.0000 0.5000 0.0000
Ru1 Ru 0.0000 0.1670 0.0000
I1 I 0.0000 0.0000 0.5000
I2 I 0.0000 0.3382 0.5000
```



# 4
# AlTlTe2
Simulated XRD peak list, CuKα. Input: a structure optimized by DFT (GGA-PBE).
Peak positions follow from Bragg's law for the DFT cell and can differ from measured ones.

Peak list (12 most intense, 2θ = 10–90°, in order of falling intensity)
d [Å]	I/Imax	h k l
3.544	100	2 2 -1
3.373	58	1 1 1
2.445	38	3 1 0
2.506	33	0 4 0
2.233	31	2 2 -3
3.056	26	1 3 -1
6.035	21	1 1 0
2.876	19	0 0 2
2.088	15	4 2 -3
1.700	14	3 5 -2
2.439	13	3 1 -3
1.890	13	0 4 2

Structural model:
```
data_AlTlTe2
_cell_length_a 10.0204
_cell_length_b 10.0280
_cell_length_c 7.6165
_cell_angle_alpha 90.00
_cell_angle_beta 130.96
_cell_angle_gamma 90.00
_symmetry_space_group_name_H-M 'C 1 c 1'
_symmetry_Int_Tables_number 9
loop_
_symmetry_equiv_pos_as_xyz
'x,y,z'
'x,-y,z+1/2'
'x+1/2,y+1/2,z'
'x+1/2,-y+1/2,z+1/2'
loop_
_atom_site_label
_atom_site_type_symbol
_atom_site_fract_x
_atom_site_fract_y
_atom_site_fract_z
Al1 Al 0.0000 0.1249 0.0000
Tl1 Tl 0.4256 0.1231 0.9996
Te1 Te 0.0918 0.0971 0.4141
Te2 Te 0.1799 0.3451 0.0849
```



# 5
# NaIn2GeS6
Simulated XRD peak list, CuKα. Input: a structure optimized by DFT (GGA-PBE).
Peak positions follow from Bragg's law for the DFT cell and can differ from measured ones.

Peak list (12 most intense, 2θ = 10–90°, in order of falling intensity)
d [Å]	I/Imax	h k l
4.685	100	0 2 1
3.747	63	3 1 0
6.435	46	1 1 -1
2.942	45	4 0 -2
4.375	42	2 2 -1
3.278	38	3 1 -2
4.091	35	3 1 -1
3.541	34	1 1 -2
2.863	33	2 4 -1
1.845	30	7 1 -2
2.399	21	3 3 1
6.554	21	0 2 0

Structural model:
```
data_NaIn2GeS6
_cell_length_a 13.0704
_cell_length_b 13.1073
_cell_length_c 7.4640
_cell_angle_alpha 90.00
_cell_angle_beta 116.17
_cell_angle_gamma 90.00
_symmetry_space_group_name_H-M 'C 1 2/c 1'
_symmetry_Int_Tables_number 15
loop_
_symmetry_equiv_pos_as_xyz
'x,y,z'
'-x,-y,-z'
'-x,y,-z+1/2'
'x,-y,z+1/2'
'x+1/2,y+1/2,z'
'-x+1/2,-y+1/2,-z'
'-x+1/2,y+1/2,-z+1/2'
'x+1/2,-y+1/2,z+1/2'
loop_
_atom_site_label
_atom_site_type_symbol
_atom_site_fract_x
_atom_site_fract_y
_atom_site_fract_z
Na1 Na 0.0000 0.1221 0.2500
In1 In 0.1806 0.4159 0.1025
Ge1 Ge 0.0000 0.1680 0.7500
S1 S 0.1091 0.2373 0.0468
S2 S 0.1120 0.0645 0.6705
S3 S 0.1130 0.4373 0.3749
```



# 6
# RePb3O
Simulated XRD peak list, CuKα. Input: a structure optimized by DFT (GGA-PBE).
Peak positions follow from Bragg's law for the DFT cell and can differ from measured ones.

Peak list (8 most intense, 2θ = 10–90°, in order of falling intensity)
d [Å]	I/Imax	h k l
2.814	100	1 1 1
2.437	55	2 0 0
1.470	44	3 1 1
1.723	39	2 2 0
1.118	20	3 3 1
1.407	14	2 2 2
1.219	6	4 0 0
4.874	1	1 0 0

Structural model:
```
data_RePb3O
_cell_length_a 4.8740
_cell_length_b 4.8740
_cell_length_c 4.8740
_cell_angle_alpha 90.00
_cell_angle_beta 90.00
_cell_angle_gamma 90.00
_symmetry_space_group_name_H-M 'P m -3 m'
_symmetry_Int_Tables_number 221
_symmetry_space_group_name_Hall '-P 4 2 3'
loop_
_atom_site_label
_atom_site_type_symbol
_atom_site_fract_x
_atom_site_fract_y
_atom_site_fract_z
Re1 Re 0.0000 0.0000 0.0000
Pb1 Pb 0.0000 0.5000 0.5000
O1 O 0.5000 0.5000 0.5000
```